Entry 1:
Calculated X-ray diffraction stick pattern
Compound: Rb5Si2NiO8
Radiation: Cu Ka
Structure: a crystal structure in the Materials Project, relaxed with GGA+U

Cell and atoms:
```
data_Rb5Si2NiO8
_symmetry_space_group_name_H-M 'C 1 2/c 1'
_symmetry_Int_Tables_number 15
_symmetry_space_group_name_Hall '-C 2yc'
_cell_length_a 8.778
_cell_length_b 10.381
_cell_length_c 13.932
_cell_angle_alpha 90.00
_cell_angle_beta 98.38
_cell_angle_gamma 90.00
loop_
_atom_site_label
_atom_site_type_symbol
_atom_site_fract_x
_atom_site_fract_y
_atom_site_fract_z
Rb1 Rb 0.000 0.152 0.250
Rb2 Rb 0.107 0.354 0.586
Rb3 Rb 0.242 0.173 0.847
Si1 Si 0.248 0.032 0.626
Ni1 Ni 0.000 0.000 0.000
O1 O 0.058 0.083 0.616
O2 O 0.139 0.347 0.381
O3 O 0.210 0.052 0.020
O4 O 0.216 0.438 0.781
```

Peak list (12 most intense, 2θ = 15–90°, in order of rising 2θ)
two_theta	Rel. int.	index
21.43	12	0 2 2
22.56	13	2 0 -2
24.74	55	1 1 3
27.77	17	1 1 -4
28.26	62	2 2 1
30.03	100	1 3 -2
30.68	34	2 0 -4
31.84	36	3 1 -1
36.93	32	0 2 5
41.56	20	2 4 1
49.96	13	1 5 3
54.17	17	3 3 -6

Entry 2:
Calculated X-ray diffraction stick pattern
Compound: ReNiO4
Radiation: Cu Ka
Structure: a crystal structure in the Materials Project, relaxed with GGA+U

Cell and atoms:
```
data_ReNiO4
_symmetry_space_group_name_H-M 'C 1 2/m 1'
_symmetry_Int_Tables_number 12
_symmetry_space_group_name_Hall '-C 2y'
_cell_length_a 9.454
_cell_length_b 5.825
_cell_length_c 4.748
_cell_angle_alpha 90.00
_cell_angle_beta 92.61
_cell_angle_gamma 90.00
loop_
_atom_site_label
_atom_site_type_symbol
_atom_site_fract_x
_atom_site_fract_y
_atom_site_fract_z
Re1 Re 0.000 0.229 0.000
Ni1 Ni 0.238 0.500 0.509
O1 O 0.090 0.500 0.819
O2 O 0.110 0.000 0.790
O3 O 0.140 0.242 0.284
```

Peak list (12 most intense, 2θ = 15–90°, in order of rising 2θ)
two_theta	Rel. int.	index
18.75	75	2 0 0
26.01	77	2 0 -1
27.25	66	2 0 1
36.22	100	2 2 0
37.94	16	0 0 2
38.12	16	4 0 0
40.66	21	2 2 -1
52.78	22	2 2 -2
52.88	22	4 2 -1
53.50	12	4 0 -2
54.21	38	4 2 1
67.40	12	0 2 3

Entry 3:
Calculated X-ray diffraction stick pattern
Compound: Re2NiO6
Radiation: Cu Ka
Structure: a crystal structure in the Materials Project, relaxed with GGA+U

Cell and atoms:
```
data_Re2NiO6
_symmetry_space_group_name_H-M 'P -1'
_symmetry_Int_Tables_number 2
_symmetry_space_group_name_Hall '-P 1'
_cell_length_a 5.556
_cell_length_b 7.252
_cell_length_c 11.054
_cell_angle_alpha 107.61
_cell_angle_beta 91.58
_cell_angle_gamma 109.48
loop_
_atom_site_label
_atom_site_type_symbol
_atom_site_fract_x
_atom_site_fract_y
_atom_site_fract_z
Re1 Re 0.017 0.260 0.242
Re2 Re 0.018 0.249 0.755
Re3 Re 0.313 0.400 0.094
Re4 Re 0.351 0.918 0.575
Ni1 Ni 0.315 0.415 0.573
Ni2 Ni 0.359 0.920 0.090
O1 O 0.014 0.257 0.424
O2 O 0.058 0.770 0.941
O3 O 0.076 0.499 0.711
O4 O 0.090 0.002 0.197
O5 O 0.219 0.645 0.141
O6 O 0.241 0.159 0.636
O7 O 0.272 0.897 0.390
O8 O 0.311 0.404 0.904
O9 O 0.351 0.921 0.756
O10 O 0.390 0.431 0.276
O11 O 0.417 0.175 0.038
O12 O 0.431 0.679 0.530
```

Peak list (12 most intense, 2θ = 15–90°, in order of rising 2θ)
two_theta	Rel. int.	index
18.41	17	0 1 1
18.70	16	1 -1 1
25.91	100	1 0 2
26.80	91	1 -2 0
36.28	65	1 0 -4
36.44	65	2 0 -2
37.32	25	0 2 2
37.93	22	2 -2 2
52.65	28	0 0 6
53.28	16	2 0 4
53.64	25	-2 2 4
53.99	25	-3 2 2

Entry 4:
Calculated X-ray diffraction stick pattern
Compound: Re2NiO6
Radiation: Cu Ka
Structure: a crystal structure in the Materials Project, relaxed with GGA+U

Cell and atoms:
```
data_Re2NiO6
_symmetry_space_group_name_H-M 'P 42/m n m'
_symmetry_Int_Tables_number 136
_symmetry_space_group_name_Hall '-P 4n 2n'
_cell_length_a 4.763
_cell_length_b 4.763
_cell_length_c 8.487
_cell_angle_alpha 90.00
_cell_angle_beta 90.00
_cell_angle_gamma 90.00
loop_
_atom_site_label
_atom_site_type_symbol
_atom_site_fract_x
_atom_site_fract_y
_atom_site_fract_z
Re1 Re 0.000 0.000 0.153
Ni1 Ni 0.000 0.000 0.500
O1 O 0.211 0.211 0.324
O2 O 0.219 0.219 0.000
```

Peak list (12 most intense, 2θ = 15–90°, in order of rising 2θ)
two_theta	Rel. int.	index
21.39	35	1 0 1
26.47	100	1 1 0
36.96	69	1 0 3
37.78	24	2 0 0
43.82	12	2 1 1
50.86	8	1 1 4
53.88	56	2 1 3
54.49	18	2 2 0
61.57	17	3 1 0
67.67	16	3 0 3
72.46	12	1 1 6
80.19	14	3 2 3